1.
# CePa2AlS8
Simulated powder diffraction line list, Cu Kα (weighted mean of Kα1 and Kα2). Input: a cell relaxed with GGA-PBE.
Lines closer than 0.1° are merged.

Crystal structure
Unit cell a=6.068 b=8.150 c=6.190 alpha=90.00 beta=92.66 gamma=90.00
Positions (direct):
Ce 0.000 0.000 0.000
Pa 0.500 0.259 0.500
Pa 0.500 0.741 0.500
Al 0.000 0.500 0.000
S 0.211 0.282 0.169
S 0.211 0.718 0.169
S 0.279 0.500 0.678
S 0.288 0.000 0.657
S 0.712 0.000 0.343
S 0.721 0.500 0.322
S 0.789 0.282 0.831
S 0.789 0.718 0.831

Top 8 peaks for 2θ = 10–80°, in order of rising 2θ:
Position (°2θ)  I_rel
20.03  100
21.00  90
26.19  58
26.35  75
29.78  45
38.95  44
39.30  45
49.60  52

***

2.
# Tl4SiSe4
Simulated powder diffraction line list, Cu Kα (weighted mean of Kα1 and Kα2). Input: a cell relaxed with GGA-PBE.
Lines closer than 0.1° are merged.

Crystal structure
Unit cell a=7.117 b=7.117 c=25.176 alpha=98.41 beta=98.41 gamma=63.13
Positions (direct):
Tl 0.000 0.000 0.000
Tl 0.000 0.000 0.500
Tl 0.055 0.341 0.664
Tl 0.096 0.680 0.175
Tl 0.175 0.825 0.750
Tl 0.277 0.351 0.500
Tl 0.320 0.904 0.325
Tl 0.341 0.055 0.164
Tl 0.351 0.277 0.000
Tl 0.649 0.723 0.000
Tl 0.659 0.945 0.836
Tl 0.680 0.096 0.675
Tl 0.723 0.649 0.500
Tl 0.825 0.175 0.250
Tl 0.904 0.320 0.825
Tl 0.945 0.659 0.336
Si 0.312 0.559 0.877
Si 0.441 0.688 0.623
Si 0.559 0.312 0.377
Si 0.688 0.441 0.123
Se 0.030 0.586 0.917
Se 0.107 0.708 0.618
Se 0.292 0.893 0.882
Se 0.306 0.398 0.791
Se 0.339 0.625 0.423
Se 0.375 0.661 0.077
Se 0.398 0.306 0.291
Se 0.414 0.970 0.583
Se 0.586 0.030 0.417
Se 0.602 0.694 0.709
Se 0.625 0.339 0.923
Se 0.661 0.375 0.577
Se 0.694 0.602 0.209
Se 0.708 0.107 0.118
Se 0.893 0.292 0.382
Se 0.970 0.414 0.083

Top 8 peaks for 2θ = 10–80°, in order of rising 2θ:
Position (°2θ)  I_rel
21.50  42
24.96  44
27.22  93
27.94  54
28.83  72
29.09  46
30.01  100
42.89  52